(1)
The following is a calculated powder diffraction line list of Ge2PbAuCl. It was derived from a crystal structure in Alexandria, relaxed with PBE, using Cu Kα (λ = 1.5418 Å).
Neutral-atom scattering factors, no anomalous dispersion.

a = 4.956 Å, b = 4.956 Å, c = 5.493 Å
α = 90.00°, β = 90.00°, γ = 90.00°
Fractional positions:
1 Ge 0.000 0.500 0.000
2 Ge 0.500 0.000 0.000
3 Pb 0.000 0.000 0.500
4 Au 0.500 0.500 0.500
5 Cl 0.000 0.000 0.000

Principal peaks in the range 15° ≤ 2θ ≤ 90°, low angle first:
2θ 16.14, intensity 17
2θ 25.42, intensity 24
2θ 30.25, intensity 100
2θ 32.61, intensity 27
2θ 36.25, intensity 40
2θ 49.55, intensity 33
2θ 52.20, intensity 14
2θ 56.73, intensity 18
2θ 61.53, intensity 28
2θ 62.92, intensity 16


(2)
The following is a calculated powder diffraction line list of H2Au3Cl8. It was derived from a crystal structure in Alexandria, relaxed with PBE, using Cu Kα (λ = 1.5418 Å).
Neutral-atom scattering factors, no anomalous dispersion.

a = 7.618 Å, b = 7.618 Å, c = 19.830 Å
α = 103.83°, β = 103.83°, γ = 54.29°
Fractional positions:
1 H 0.172 0.291 0.115
2 H 0.291 0.172 0.615
3 H 0.709 0.828 0.385
4 H 0.828 0.709 0.885
5 Au 0.302 0.698 0.250
6 Au 0.415 0.455 0.906
7 Au 0.455 0.415 0.406
8 Au 0.545 0.585 0.594
9 Au 0.585 0.545 0.094
10 Au 0.698 0.302 0.750
11 Cl 0.090 0.645 0.833
12 Cl 0.171 0.594 0.314
13 Cl 0.231 0.341 0.586
14 Cl 0.269 0.718 0.008
15 Cl 0.282 0.731 0.492
16 Cl 0.341 0.231 0.086
17 Cl 0.355 0.910 0.667
18 Cl 0.406 0.829 0.186
19 Cl 0.594 0.171 0.814
20 Cl 0.645 0.090 0.333
21 Cl 0.659 0.769 0.914
22 Cl 0.718 0.269 0.508
23 Cl 0.731 0.282 0.992
24 Cl 0.769 0.659 0.414
25 Cl 0.829 0.406 0.686
26 Cl 0.910 0.355 0.167

Principal peaks in the range 15° ≤ 2θ ≤ 90°, low angle first:
2θ 18.40, intensity 76
2θ 18.77, intensity 55
2θ 23.79, intensity 70
2θ 27.31, intensity 44
2θ 27.83, intensity 58
2θ 28.68, intensity 59
2θ 29.94, intensity 54
2θ 31.84, intensity 59
2θ 36.78, intensity 100
2θ 48.44, intensity 45


(3)
The following is a calculated powder diffraction line list of KHIrAuCl. It was derived from a crystal structure in Alexandria, relaxed with PBE, using Cu Kα (λ = 1.5418 Å).
Neutral-atom scattering factors, no anomalous dispersion.

a = 4.547 Å, b = 7.178 Å, c = 7.178 Å
α = 24.08°, β = 90.00°, γ = 90.00°
Fractional positions:
1 K 0.000 0.000 0.000
2 H 0.500 0.885 0.885
3 Ir 0.500 0.772 0.772
4 Au 0.000 0.283 0.283
5 Cl 0.500 0.596 0.596

Principal peaks in the range 15° ≤ 2θ ≤ 90°, low angle first:
2θ 25.37, intensity 65
2θ 36.49, intensity 100
2θ 38.47, intensity 20
2θ 39.64, intensity 26
2θ 40.91, intensity 63
2θ 41.76, intensity 23
2θ 47.65, intensity 24
2θ 48.76, intensity 39
2θ 59.03, intensity 26
2θ 69.87, intensity 15


(4)
The following is a calculated powder diffraction line list of KH2AuCl8. It was derived from a crystal structure in Alexandria, relaxed with PBE, using Cu Kα (λ = 1.5418 Å).
Neutral-atom scattering factors, no anomalous dispersion.

a = 5.677 Å, b = 8.455 Å, c = 8.590 Å
α = 77.86°, β = 75.17°, γ = 88.10°
Fractional positions:
1 K 0.000 0.000 0.000
2 H 0.431 0.806 0.382
3 H 0.569 0.194 0.618
4 Au 0.000 0.500 0.000
5 Cl 0.017 0.281 0.211
6 Cl 0.210 0.659 0.111
7 Cl 0.369 0.563 0.567
8 Cl 0.459 0.950 0.286
9 Cl 0.541 0.050 0.714
10 Cl 0.631 0.437 0.433
11 Cl 0.790 0.341 0.889
12 Cl 0.983 0.719 0.789

Principal peaks in the range 15° ≤ 2θ ≤ 90°, low angle first:
2θ 16.15, intensity 52
2θ 17.04, intensity 94
2θ 19.10, intensity 60
2θ 19.22, intensity 72
2θ 21.51, intensity 41
2θ 21.74, intensity 100
2θ 23.07, intensity 45
2θ 29.12, intensity 73
2θ 32.64, intensity 37
2θ 35.01, intensity 42


(5)
The following is a calculated powder diffraction line list of KLi2HAuCl. It was derived from a crystal structure in Alexandria, relaxed with PBE, using Cu Kα (λ = 1.5418 Å).
Neutral-atom scattering factors, no anomalous dispersion.

a = 5.803 Å, b = 3.580 Å, c = 6.276 Å
α = 90.00°, β = 107.94°, γ = 90.00°
Fractional positions:
1 K 0.000 0.000 0.000
2 Li 0.294 0.500 0.562
3 Li 0.613 0.000 0.374
4 H 0.325 0.000 0.441
5 Au 0.504 0.500 0.016
6 Cl 0.876 0.500 0.566

Principal peaks in the range 15° ≤ 2θ ≤ 90°, low angle first:
2θ 16.05, intensity 65
2θ 18.22, intensity 81
2θ 24.87, intensity 48
2θ 25.11, intensity 42
2θ 29.74, intensity 75
2θ 29.93, intensity 61
2θ 31.00, intensity 100
2θ 31.23, intensity 51
2θ 35.64, intensity 78
2θ 38.80, intensity 47


(6)
The following is a calculated powder diffraction line list of KLi2HAuCl. It was derived from a crystal structure in Alexandria, relaxed with PBE, using Cu Kα (λ = 1.5418 Å).
Neutral-atom scattering factors, no anomalous dispersion.

a = 3.746 Å, b = 8.898 Å, c = 8.898 Å
α = 22.79°, β = 90.00°, γ = 90.00°
Fractional positions:
1 K 0.000 0.000 0.000
2 Li 0.000 0.208 0.208
3 Li 0.500 0.808 0.808
4 H 0.000 0.765 0.765
5 Au 0.500 0.639 0.639
6 Cl 0.500 0.398 0.398

Principal peaks in the range 15° ≤ 2θ ≤ 90°, low angle first:
2θ 20.36, intensity 57
2θ 23.76, intensity 40
2θ 25.87, intensity 100
2θ 29.70, intensity 64
2θ 31.48, intensity 80
2θ 35.40, intensity 91
2θ 36.28, intensity 43
2θ 38.38, intensity 31
2θ 43.83, intensity 34
2θ 62.12, intensity 39